Record 1
The following is a theoretical X-ray powder pattern of Sr2TlAsPd6. It was derived from a cell relaxed with PBE, using λ = 1.5418 Å (Cu Kα).
Intensities are scaled so that the largest is 100.

Principal peaks in the range 2θ from 10° to 90°, sorted by position:
hkl 1 2 1, d = 3.271 Å, 27.26°, rel. 80
hkl 2 0 2, d = 2.381 Å, 37.78°, rel. 87
hkl 0 4 0, d = 2.251 Å, 40.06°, rel. 81
hkl 1 2 3, d = 2.243 Å, 40.20°, rel. 100
hkl 2 2 2, d = 2.105 Å, 42.97°, rel. 73
hkl 2 4 2, d = 1.636 Å, 56.24°, rel. 54

Structure:
abc: 5.6848 9.0021 8.7194
angles: 90.00 90.00 90.00
Space group Pmmn (No. 59, origin choice 2)
Asymmetric unit:
Sr  0.2500  0.0052  0.2281 x4
Tl  0.2500  0.7500  0.7800 x2
As  0.2500  0.2500  0.7297 x2
Pd  0.0006  0.7500  0.0428 x4
Pd  0.0071  0.7500  0.5028 x4
Pd  0.2500  0.0024  0.5920 x4

=====

Record 2
The following is a theoretical X-ray powder pattern of SrTl2As2Pd7. It was derived from a cell relaxed with PBE, using λ = 1.5418 Å (Cu Kα).
Intensities are scaled so that the largest is 100.

Principal peaks in the range 2θ from 10° to 90°, sorted by position:
hkl 0 0 5, d = 2.926 Å, 30.55°, rel. 73
hkl 0 2 1, d = 2.847 Å, 31.42°, rel. 75
hkl 2 0 -3, d = 2.626 Å, 34.15°, rel. 76
hkl 2 0 2, d = 2.590 Å, 34.63°, rel. 79
hkl 0 2 3, d = 2.494 Å, 36.01°, rel. 64
hkl 2 2 -1, d = 2.051 Å, 44.15°, rel. 100

Structure:
abc: 5.8269 5.8054 14.7297
angles: 90.00 96.67 90.00
Space group C2/m (No. 12)
Asymmetric unit:
Sr  0.0000  0.0000  0.0000 x2
Tl  0.1024  0.0000  0.4019 x4
As  0.0767  0.5000  0.2486 x4
Pd  0.0000  0.5000  0.0000 x2
Pd  0.0970  0.5000  0.4159 x4
Pd  0.2014  0.2511  0.8431 x8